Structure and theoretical PXRD pattern of PuZnGa3 (a GGA-PBE-relaxed structure; Cu Kα, 1.54184 Å).

Peak list (12 most intense, 2θ from 10° to 80°, in order of rising 2θ)
2θ/deg, d (Å), I_rel
22.62, 3.930, 25
29.91, 2.987, 23
32.82, 2.729, 65
34.37, 2.610, 100
42.82, 2.112, 46
47.53, 1.913, 33
54.92, 1.672, 15
55.02, 1.669, 15
62.15, 1.493, 15
65.80, 1.419, 12
65.95, 1.416, 13
72.97, 1.296, 17

Structure:
```
5
Lattice="2.9872 -2.9867 0.0000 2.9872 2.9867 0.0000 -2.9697 0.0000 5.3636" Properties=species:S:1:pos:R:3 pbc="T T T"
Pu 0.0000 0.0000 0.0000
Zn 2.9867 0.0000 1.2815
Ga 1.5016 1.4989 2.6927
Ga 0.0166 0.0000 4.2413
Ga 1.5016 -1.4989 2.6927
```